Record 1
Simulated X-ray diffraction stick pattern
Compound: NaAcNb2O7
Radiation: Cu Kα X-rays
Structure: a structure optimized by DFT (PBE)
Lines closer than 0.1° are merged.

Cell and atoms:
```
NaAcNb2O7
1.0
3.917 0.000 0.000
0.000 3.917 0.000
0.000 0.000 11.311
Na Ac Nb O
1 1 2 7
Direct
0.000 0.000 0.000 Na
0.000 0.000 0.500 Ac
0.500 0.500 0.286 Nb
0.500 0.500 0.714 Nb
0.000 0.500 0.326 O
0.000 0.500 0.674 O
0.500 0.000 0.326 O
0.500 0.000 0.674 O
0.500 0.500 0.126 O
0.500 0.500 0.500 O
0.500 0.500 0.874 O
```

Principal peaks in the range 2θ = 15–90°, sorted by position:
24.04°, intensity 218; 27.70°, intensity 1000; 32.32°, intensity 368; 32.97°, intensity 298; 33.30°, intensity 155; 45.86°, intensity 215; 46.36°, intensity 225; 52.21°, intensity 145; 54.86°, intensity 303; 58.06°, intensity 129

---

Record 2
Simulated X-ray diffraction stick pattern
Compound: NaAcNd
Radiation: Cu Kα X-rays
Structure: a structure optimized by DFT (PBE)
Lines closer than 0.1° are merged.

Cell and atoms:
```
NaAcNd
1.0
5.900 0.000 0.000
-2.950 5.110 0.000
0.000 0.000 7.674
Na Ac Nd
2 2 2
Direct
0.333 0.667 0.499 Na
0.667 0.333 0.501 Na
0.000 0.000 0.240 Ac
0.000 0.000 0.760 Ac
0.333 0.667 0.000 Nd
0.667 0.333 0.000 Nd
```

Principal peaks in the range 2θ = 15–90°, sorted by position:
17.35°, intensity 333; 29.10°, intensity 1000; 30.30°, intensity 747; 32.52°, intensity 148; 42.51°, intensity 364; 53.09°, intensity 384; 53.82°, intensity 151; 57.29°, intensity 241; 70.88°, intensity 163; 74.49°, intensity 111

---

Record 3
Simulated X-ray diffraction stick pattern
Compound: Na2Ac2NpO6
Radiation: Cu Kα X-rays
Structure: a structure optimized by DFT (PBE)
Lines closer than 0.1° are merged.

Cell and atoms:
```
Na2Ac2NpO6
1.0
3.244 -5.634 0.000
3.244 5.634 0.000
-1.480 0.000 5.737
Na Ac Np O
2 2 1 6
Direct
0.140 0.860 0.000 Na
0.860 0.140 0.000 Na
0.335 0.665 0.500 Ac
0.665 0.335 0.500 Ac
0.000 0.000 0.500 Np
0.031 0.350 0.693 O
0.233 0.233 0.293 O
0.350 0.031 0.693 O
0.650 0.969 0.307 O
0.767 0.767 0.707 O
0.969 0.650 0.307 O
```

Principal peaks in the range 2θ = 15–90°, sorted by position:
15.44°, intensity 1000; 27.67°, intensity 436; 28.41°, intensity 224; 28.79°, intensity 215; 30.00°, intensity 364; 31.18°, intensity 180; 33.59°, intensity 462; 36.78°, intensity 187; 39.28°, intensity 167; 44.91°, intensity 160